The following is a computed PXRD pattern of NiTeC. It was derived from DFT lattice parameters and positions (PBE), using Cu Kα.

Crystal structure
```
data_NiTeC
_space_group_name_H-M_alt 'C 1 m 1'
_space_group_IT_number 8
_space_group_name_Hall 'C -2y'
_cell_length_a 5.3257
_cell_length_b 5.0618
_cell_length_c 8.3705
_cell_angle_alpha 90.00
_cell_angle_beta 101.18
_cell_angle_gamma 90.00
loop_
_atom_site_label
_atom_site_fract_x
_atom_site_fract_y
_atom_site_fract_z
Ni1 0.0000 0.2491 0.0000
Te1 0.1133 0.0000 0.4294
Te2 0.1801 0.5000 0.7781
C1 0.1225 0.0000 0.1866
C2 0.2969 0.0000 0.0880
```

Main lines, sorted by position (2θ from 10° to 80°):
| h k l | 2θ (°) | intensity |
| --- | --- | --- |
| 0 0 1 | 10.77 | 43 |
| 0 0 2 | 21.64 | 34 |
| 1 1 -1 | 25.42 | 74 |
| 1 1 1 | 28.15 | 100 |
| 1 1 -2 | 30.57 | 66 |
| 0 0 3 | 32.72 | 29 |
| 2 0 0 | 34.33 | 25 |
| 0 2 1 | 37.17 | 35 |
| 2 0 -3 | 42.98 | 32 |
| 2 0 2 | 44.57 | 25 |
| 0 2 3 | 49.02 | 36 |
| 2 2 0 | 50.19 | 28 |

=====

The following is a computed PXRD pattern of DyPuPt. It was derived from DFT lattice parameters and positions (PBE), using Cu Kα.

Crystal structure
```
data_DyPuPt
_space_group_name_H-M_alt 'R 3 m'
_space_group_IT_number 160
_space_group_name_Hall 'R 3 -2"'
_cell_length_a 3.8083
_cell_length_b 3.8083
_cell_length_c 19.7412
_cell_angle_alpha 90.00
_cell_angle_beta 90.00
_cell_angle_gamma 120.00
loop_
_atom_site_label
_atom_site_fract_x
_atom_site_fract_y
_atom_site_fract_z
Dy1 0.0000 0.0000 0.0000
Pu1 0.0000 0.0000 0.8146
Pt1 0.0000 0.0000 0.5766
```

Main lines, sorted by position (2θ from 10° to 80°):
| h k l | 2θ (°) | intensity |
| --- | --- | --- |
| 0 0 3 | 13.46 | 24 |
| 1 0 1 | 27.42 | 73 |
| 1 0 4 | 32.66 | 84 |
| 0 1 5 | 35.46 | 100 |
| 1 0 7 | 42.16 | 26 |
| 1 1 0 | 47.77 | 57 |
| 0 0 12 | 55.93 | 19 |
| 0 2 4 | 59.06 | 16 |
| 2 0 5 | 60.88 | 21 |
| 1 1 9 | 64.84 | 22 |
| 1 1 12 | 76.54 | 29 |
| 2 1 4 | 79.26 | 14 |

=====

The following is a computed PXRD pattern of Li15RuN6. It was derived from DFT lattice parameters and positions (PBE), using Cu Kα.

Crystal structure
```
data_Li15RuN6
_space_group_name_H-M_alt 'I m -3 m'
_space_group_IT_number 229
_space_group_name_Hall '-I 4 2 3'
_cell_length_a 8.1511
_cell_length_b 8.1511
_cell_length_c 8.1511
_cell_angle_alpha 90.00
_cell_angle_beta 90.00
_cell_angle_gamma 90.00
loop_
_atom_site_label
_atom_site_fract_x
_atom_site_fract_y
_atom_site_fract_z
Li1 0.0000 0.0000 0.5000
Li2 0.0000 0.2330 0.2330
Ru1 0.0000 0.0000 0.0000
N1 0.0000 0.0000 0.2677
```

Main lines, sorted by position (2θ from 10° to 80°):
| h k l | 2θ (°) | intensity |
| --- | --- | --- |
| 1 1 0 | 15.37 | 100 |
| 2 0 0 | 21.81 | 23 |
| 2 1 1 | 26.79 | 11 |
| 2 2 0 | 31.03 | 6 |
| 3 1 0 | 34.81 | 26 |
| 3 2 1 | 41.45 | 13 |
| 4 0 0 | 44.46 | 12 |
| 3 3 0 | 47.31 | 15 |
| 4 2 0 | 50.04 | 8 |
| 5 1 0 | 57.67 | 15 |
| 4 4 0 | 64.69 | 7 |
| 4 3 3 | 66.94 | 6 |

=====

The following is a computed PXRD pattern of Pr5SnHg3. It was derived from DFT lattice parameters and positions (PBE), using Cu Kα.

Crystal structure
```
data_Pr5SnHg3
_space_group_name_H-M_alt 'P 63/m c m'
_space_group_IT_number 193
_space_group_name_Hall '-P 6c 2'
_cell_length_a 9.6742
_cell_length_b 9.6742
_cell_length_c 6.6892
_cell_angle_alpha 90.00
_cell_angle_beta 90.00
_cell_angle_gamma 120.00
loop_
_atom_site_label
_atom_site_fract_x
_atom_site_fract_y
_atom_site_fract_z
Pr1 0.0000 0.2833 0.2500
Pr2 0.3333 0.6667 0.0000
Sn1 0.0000 0.0000 0.0000
Hg1 0.0000 0.3821 0.7500
```

Main lines, sorted by position (2θ from 10° to 80°):
| h k l | 2θ (°) | intensity |
| --- | --- | --- |
| 0 0 2 | 26.65 | 14 |
| 2 1 1 | 31.25 | 51 |
| 3 0 0 | 32.05 | 92 |
| 1 1 2 | 32.55 | 100 |
| 3 1 1 | 41.12 | 24 |
| 2 2 2 | 46.33 | 27 |
| 2 1 3 | 50.03 | 14 |
| 0 0 4 | 54.90 | 10 |
| 4 1 2 | 57.44 | 21 |
| 4 2 1 | 60.05 | 17 |
| 5 1 1 | 63.35 | 10 |
| 3 0 4 | 65.00 | 24 |

=====

The following is a computed PXRD pattern of LiGe2F5. It was derived from DFT lattice parameters and positions (PBE), using Cu Kα.

Crystal structure
```
data_LiGe2F5
_space_group_name_H-M_alt 'P b c n'
_space_group_IT_number 60
_space_group_name_Hall '-P 2n 2ab'
_cell_length_a 7.3614
_cell_length_b 10.5326
_cell_length_c 6.3364
_cell_angle_alpha 90.00
_cell_angle_beta 90.00
_cell_angle_gamma 90.00
loop_
_atom_site_label
_atom_site_fract_x
_atom_site_fract_y
_atom_site_fract_z
Li1 0.0000 0.0516 0.2500
Ge1 0.1246 0.3425 0.5069
F1 0.0000 0.4255 0.2500
F2 0.1504 0.0756 0.9410
F3 0.1801 0.1985 0.3361
```

Main lines, sorted by position (2θ from 10° to 80°):
| h k l | 2θ (°) | intensity |
| --- | --- | --- |
| 1 1 0 | 14.68 | 28 |
| 0 2 0 | 16.84 | 14 |
| 1 2 1 | 25.10 | 100 |
| 0 0 2 | 28.16 | 54 |
| 2 1 1 | 29.31 | 84 |
| 1 3 2 | 40.25 | 30 |
| 3 2 1 | 43.10 | 23 |
| 1 2 3 | 48.03 | 22 |
| 2 5 1 | 52.06 | 35 |
| 3 3 2 | 54.00 | 14 |
| 4 0 2 | 57.95 | 14 |
| 2 5 3 | 67.77 | 17 |